Theoretical powder X-ray diffraction pattern of PmUIO4 for a wavelength of 1.5418 Å, from a GGA-PBE-relaxed structure.
Neutral-atom scattering factors, no anomalous dispersion.

Atomic structure:
Cell: 8.203 8.203 6.920 Å, 104.44 104.44 44.41°
Element x y z (fractional)
Pm 0.210 0.210 0.338
Pm 0.790 0.790 0.662
U 0.103 0.103 0.701
U 0.897 0.897 0.299
I 0.483 0.483 0.234
I 0.517 0.517 0.766
O 0.020 0.588 0.364
O 0.057 0.057 0.394
O 0.144 0.144 0.991
O 0.412 0.980 0.636
O 0.588 0.020 0.364
O 0.856 0.856 0.009
O 0.943 0.943 0.606
O 0.980 0.412 0.636

Principal peaks in the range 10° ≤ 2θ ≤ 90°, in order of rising 2θ:
2θ/deg	d_spacing	I (rel.)
13.3	6.664	41.6
15.5	5.709	36.2
20.3	4.374	41.4
23.2	3.833	100.0
26.8	3.332	44.2
28.8	3.100	72.7
29.2	3.055	46.0
31.6	2.829	80.6



Theoretical powder X-ray diffraction pattern of PrI3O10 for a wavelength of 1.5418 Å, from a GGA-PBE-relaxed structure.
Neutral-atom scattering factors, no anomalous dispersion.

Atomic structure:
Cell: 7.542 6.841 10.158 Å, 90.00 107.71 90.00°
Element x y z (fractional)
Pr 0.250 0.000 0.190
Pr 0.750 0.500 0.810
I 0.019 0.521 0.223
I 0.332 0.471 0.958
I 0.399 0.866 0.587
I 0.601 0.366 0.413
I 0.668 0.971 0.042
I 0.981 0.021 0.777
O 0.095 0.404 0.854
O 0.141 0.292 0.277
O 0.144 0.945 0.941
O 0.174 0.069 0.537
O 0.197 0.639 0.157
O 0.234 0.819 0.687
O 0.246 0.821 0.407
O 0.386 0.278 0.090
O 0.465 0.367 0.851
O 0.495 0.613 0.605
O 0.505 0.113 0.395
O 0.535 0.867 0.149
O 0.614 0.778 0.910
O 0.754 0.321 0.593
O 0.766 0.319 0.313
O 0.803 0.139 0.843
O 0.826 0.569 0.463
O 0.856 0.445 0.059
O 0.859 0.792 0.723
O 0.905 0.904 0.146

Principal peaks in the range 10° ≤ 2θ ≤ 90°, in order of rising 2θ:
2θ/deg	d_spacing	I (rel.)
21.8	4.077	57.5
22.5	3.950	44.7
25.1	3.545	38.9
26.0	3.421	49.3
26.6	3.348	34.2
27.1	3.296	100.0
29.2	3.063	33.9
29.7	3.007	37.5



Theoretical powder X-ray diffraction pattern of Pr2IO6 for a wavelength of 1.5418 Å, from a GGA-PBE-relaxed structure.
Neutral-atom scattering factors, no anomalous dispersion.

Atomic structure:
Cell: 5.757 6.083 9.667 Å, 90.00 119.96 90.00°
Element x y z (fractional)
Pr 0.197 0.072 0.238
Pr 0.197 0.428 0.738
Pr 0.803 0.572 0.262
Pr 0.803 0.928 0.762
I 0.500 0.000 0.000
I 0.500 0.500 0.500
O 0.171 0.176 0.952
O 0.171 0.324 0.452
O 0.247 0.741 0.897
O 0.247 0.759 0.397
O 0.451 0.094 0.790
O 0.451 0.406 0.290
O 0.549 0.594 0.710
O 0.549 0.906 0.210
O 0.753 0.241 0.603
O 0.753 0.259 0.103
O 0.829 0.676 0.548
O 0.829 0.824 0.048

Principal peaks in the range 10° ≤ 2θ ≤ 90°, in order of rising 2θ:
2θ/deg	d_spacing	I (rel.)
18.0	4.922	73.5
19.7	4.499	39.4
29.0	3.080	100.0
29.4	3.041	26.8
31.3	2.860	55.3
31.5	2.842	85.5
35.3	2.546	38.2
57.3	1.608	25.2



Repeat the third record exactly.
Theoretical powder X-ray diffraction pattern of Pr2IO6 for a wavelength of 1.5418 Å, from a GGA-PBE-relaxed structure.
Neutral-atom scattering factors, no anomalous dispersion.

Atomic structure:
Cell: 5.757 6.083 9.667 Å, 90.00 119.96 90.00°
Element x y z (fractional)
Pr 0.197 0.072 0.238
Pr 0.197 0.428 0.738
Pr 0.803 0.572 0.262
Pr 0.803 0.928 0.762
I 0.500 0.000 0.000
I 0.500 0.500 0.500
O 0.171 0.176 0.952
O 0.171 0.324 0.452
O 0.247 0.741 0.897
O 0.247 0.759 0.397
O 0.451 0.094 0.790
O 0.451 0.406 0.290
O 0.549 0.594 0.710
O 0.549 0.906 0.210
O 0.753 0.241 0.603
O 0.753 0.259 0.103
O 0.829 0.676 0.548
O 0.829 0.824 0.048

Principal peaks in the range 10° ≤ 2θ ≤ 90°, in order of rising 2θ:
2θ/deg	d_spacing	I (rel.)
18.0	4.922	73.5
19.7	4.499	39.4
29.0	3.080	100.0
29.4	3.041	26.8
31.3	2.860	55.3
31.5	2.842	85.5
35.3	2.546	38.2
57.3	1.608	25.2